Diffraction record for KTmSnTe3. The X-ray powder pattern is calculated, not measured: it uses a GGA-PBE-relaxed structure and Cu Kα (weighted mean of Kα1 and Kα2).
No peak broadening, texture or thermal motion is included.

```
KTmSnTe3
1.0
16.479 0.000 0.000
0.000 4.398 0.000
0.000 0.000 12.495
K Tm Sn Te
4 4 4 12
Direct
0.228 0.250 0.082 K
0.272 0.750 0.582 K
0.728 0.250 0.418 K
0.772 0.750 0.918 K
0.010 0.750 0.648 Tm
0.490 0.250 0.148 Tm
0.510 0.750 0.852 Tm
0.990 0.250 0.352 Tm
0.038 0.250 0.918 Sn
0.462 0.750 0.418 Sn
0.538 0.250 0.582 Sn
0.962 0.750 0.082 Sn
0.091 0.750 0.236 Te
0.107 0.250 0.539 Te
0.140 0.750 0.829 Te
0.360 0.250 0.329 Te
0.393 0.750 0.039 Te
0.409 0.250 0.736 Te
0.591 0.750 0.264 Te
0.607 0.250 0.961 Te
0.640 0.750 0.671 Te
0.860 0.250 0.171 Te
0.893 0.750 0.461 Te
0.909 0.250 0.764 Te
```

Principal peaks in the range 2θ = 5–70°, low angle first:
hkl  d (Å)  2theta  Rel. int.
2 0 0  8.240  10.74  100.0
2 0 3  3.717  23.94  21.8
3 0 3  3.318  26.87  34.2
2 1 2  3.296  27.05  62.5
3 1 2  3.009  29.69  62.0
4 0 3  2.927  30.54  23.4
5 0 3  2.583  34.74  31.7
6 1 1  2.290  39.34  19.4
0 2 0  2.199  41.04  25.2
0 1 5  2.173  41.56  27.3